Computed X-ray diffraction stick pattern of LiCrP4O12 for Cu Ka, from a structure optimized by DFT (GGA+U).
Kinematic intensities with the Lorentz-polarization factor, no thermal factor.

The 10 most intense peaks (2θ = 15–90°), by angle:
2θ 16.20, 5.471 Å, intensity 59; 2θ 16.63, 5.330 Å, intensity 85; 2θ 18.61, 4.767 Å, intensity 88; 2θ 23.38, 3.804 Å, intensity 98; 2θ 27.23, 3.275 Å, intensity 100; 2θ 27.61, 3.230 Å, intensity 97; 2θ 28.57, 3.125 Å, intensity 58; 2θ 29.57, 3.021 Å, intensity 41; 2θ 32.01, 2.796 Å, intensity 74; 2θ 32.74, 2.736 Å, intensity 48

Crystal structure
Lattice parameters (Å, degrees): 6.9417 6.9417 9.5400 91.14 91.14 109.26
Fractional positions:
1 Li 0.1666 0.8334 0.7500
2 Li 0.8334 0.1666 0.2500
3 Cr 0.1132 0.8868 0.2500
4 Cr 0.8868 0.1132 0.7500
5 P 0.1976 0.2775 0.0261
6 P 0.2689 0.6232 0.4636
7 P 0.2775 0.1976 0.5261
8 P 0.3768 0.7311 0.0365
9 P 0.6232 0.2689 0.9636
10 P 0.7225 0.8024 0.4739
11 P 0.7311 0.3768 0.5364
12 P 0.8024 0.7225 0.9739
13 O 0.0587 0.2867 0.9051
14 O 0.1014 0.1405 0.1462
15 O 0.1266 0.6468 0.3475
16 O 0.1405 0.1014 0.6462
17 O 0.2134 0.3778 0.4615
18 O 0.2676 0.7104 0.6050
19 O 0.2866 0.0587 0.4051
20 O 0.2896 0.7324 0.8950
21 O 0.3052 0.4994 0.0959
22 O 0.3532 0.8734 0.1525
23 O 0.3778 0.2134 0.9615
24 O 0.4994 0.3052 0.5959
25 O 0.5006 0.6948 0.4041
26 O 0.6222 0.7866 0.0385
27 O 0.6468 0.1266 0.8475
28 O 0.6948 0.5006 0.9041
29 O 0.7104 0.2676 0.1050
30 O 0.7134 0.9413 0.5949
31 O 0.7324 0.2896 0.3950
32 O 0.7866 0.6222 0.5385
33 O 0.8595 0.8986 0.3538
34 O 0.8734 0.3532 0.6525
35 O 0.8986 0.8595 0.8538
36 O 0.9413 0.7134 0.0949